For Ce7Ga5Si, a cell relaxed with PBE gives the simulated XRD peak list in this record (Cu Kα).
Lines closer than 0.1° are merged.

Main lines, in order of rising 2θ (15 to 90 degrees two-theta):
| d (Å) | I (rel.) |
| --- | --- |
| 3.724 | 32 |
| 3.677 | 48 |
| 3.025 | 36 |
| 2.946 | 31 |
| 2.621 | 69 |
| 2.571 | 28 |
| 2.361 | 28 |
| 2.310 | 100 |

Lattice parameters (Å, degrees): 8.009 8.009 8.009 136.84 97.35 98.20
Fractional positions:
Ce (0.000, 0.000, 0.000)
Ce (0.404, 0.700, 0.704)
Ce (0.419, 0.419, 0.000)
Ce (0.502, 0.163, 0.339)
Ce (0.824, 0.163, 0.661)
Ce (0.869, 0.369, 0.500)
Ce (0.996, 0.700, 0.296)
Ga (0.185, 0.206, 0.514)
Ga (0.185, 0.671, 0.980)
Ga (0.411, 0.911, 0.500)
Ga (0.691, 0.206, 0.020)
Ga (0.691, 0.671, 0.486)
Si (0.704, 0.704, 0.000)